The following is a computed powder diffraction line list of TbCeSc3. It was derived from the PBE geometry in Alexandria, using Cu Kα (λ = 1.5418 Å).
Peak positions follow from Bragg's law for the DFT cell and can differ from measured ones.

Largest 12 diffraction maxima, low angle first, 2θ from 5° to 70°:
Position (°2θ), intensity
21.49, 50
22.16, 80
28.06, 50
28.79, 79
28.92, 65
31.61, 59
31.75, 57
32.39, 58
34.82, 100
35.01, 47
36.62, 44
37.18, 47

Atomic structure:
abc: 9.869 9.869 6.104
angles: 95.87 95.87 69.95
Atoms (fractional coordinates):
Tb  0.087  0.913  0.750
Tb  0.258  0.742  0.250
Tb  0.742  0.258  0.750
Tb  0.913  0.087  0.250
Ce  0.177  0.281  0.196
Ce  0.281  0.177  0.696
Ce  0.719  0.823  0.304
Ce  0.823  0.719  0.804
Sc  0.031  0.622  0.395
Sc  0.141  0.542  0.900
Sc  0.369  0.466  0.568
Sc  0.378  0.969  0.105
Sc  0.458  0.859  0.600
Sc  0.466  0.369  0.068
Sc  0.534  0.631  0.932
Sc  0.542  0.141  0.400
Sc  0.622  0.031  0.895
Sc  0.631  0.534  0.432
Sc  0.859  0.458  0.100
Sc  0.969  0.378  0.605